Diffraction record for Ac2Dy3Mg2. The X-ray powder pattern is simulated, not measured: it uses a PBE-relaxed structure and Cu Kα (λ = 1.5418 Å).
Intensities are scaled so that the largest is 100.

Principal peaks in the range 10° ≤ 2θ ≤ 90°, in order of rising 2θ:
h k l, 2theta, d [Å], I (rel.)
0 8 0, 21.1, 4.212, 35
0 0 1, 23.9, 3.724, 50
1 3 0, 25.0, 3.559, 34
1 7 0, 30.2, 2.959, 100
0 8 1, 32.1, 2.789, 92
1 1 1, 34.0, 2.634, 78
1 7 1, 38.9, 2.316, 29
1 15 1, 53.5, 1.712, 57
1 7 2, 58.6, 1.575, 31
2 8 1, 59.4, 1.557, 32

Crystal structure
```
Ac2Dy3Mg2
1.0
3.7519 0.0000 0.0000
0.0000 33.6921 0.0000
0.0000 0.0000 3.7217
Ac Dy Mg
4 6 4
direct
0.0000 0.1987 0.0000
0.0000 0.8013 0.0000
0.5000 0.3013 0.0000
0.5000 0.6987 0.0000
0.0000 0.0683 0.0000
0.0000 0.5000 0.5000
0.0000 0.9317 0.0000
0.5000 0.0000 0.5000
0.5000 0.4317 0.0000
0.5000 0.5683 0.0000
0.0000 0.3724 0.5000
0.0000 0.6276 0.5000
0.5000 0.1276 0.5000
0.5000 0.8724 0.5000
```

---

Diffraction record for Ac3Dy2Mg2. The X-ray powder pattern is simulated, not measured: it uses a PBE-relaxed structure and Cu Kα (λ = 1.5418 Å).
Intensities are scaled so that the largest is 100.

Principal peaks in the range 10° ≤ 2θ ≤ 90°, in order of rising 2θ:
h k l, 2theta, d [Å], I (rel.)
1 1 0, 16.5, 5.360, 52
1 1 1, 29.2, 3.063, 80
1 7 0, 30.3, 2.954, 100
1 3 1, 31.0, 2.888, 29
0 6 1, 32.5, 2.756, 42
2 0 0, 32.6, 2.746, 44
1 5 1, 34.3, 2.612, 37
2 6 1, 46.7, 1.945, 31
1 13 1, 57.2, 1.610, 25
1 7 2, 58.5, 1.577, 32

Crystal structure
```
Ac3Dy2Mg2
1.0
5.4924 0.0000 0.0000
0.0000 24.5255 0.0000
0.0000 0.0000 3.7316
Ac Dy Mg
6 4 4
direct
0.0000 0.0000 0.0000
0.0000 0.1519 0.0000
0.0000 0.8481 0.0000
0.5000 0.3481 0.0000
0.5000 0.5000 0.0000
0.5000 0.6519 0.0000
0.0000 0.2859 0.5000
0.0000 0.7141 0.5000
0.5000 0.2141 0.5000
0.5000 0.7859 0.5000
0.0000 0.4287 0.5000
0.0000 0.5713 0.5000
0.5000 0.0713 0.5000
0.5000 0.9287 0.5000
```

---

Diffraction record for AcDyMg. The X-ray powder pattern is simulated, not measured: it uses a PBE-relaxed structure and Cu Kα (λ = 1.5418 Å).
Intensities are scaled so that the largest is 100.

Principal peaks in the range 10° ≤ 2θ ≤ 90°, in order of rising 2θ:
h k l, 2theta, d [Å], I (rel.)
1 0 0, 18.1, 4.902, 47
1 0 1, 30.6, 2.917, 100
1 1 0, 31.6, 2.830, 68
0 2 1, 44.6, 2.031, 36
2 1 1, 55.7, 1.650, 38
3 0 0, 56.3, 1.634, 14
1 1 2, 60.6, 1.528, 20
2 2 0, 66.0, 1.415, 8
1 3 1, 74.5, 1.273, 16
3 0 2, 78.8, 1.214, 9

Crystal structure
```
AcDyMg
1.0
5.6599 0.0000 0.0000
-2.8300 4.9016 0.0000
0.0000 0.0000 3.6302
Ac Dy Mg
1 1 1
direct
0.0000 0.0000 0.0000
0.3333 0.6667 0.5314
0.6667 0.3333 0.4310
```